Structure and calculated powder X-ray diffraction pattern of Pm3RhAu3 (the PBE geometry in Alexandria; Cu Ka).
Lines closer than 0.1° are merged.

Atomic structure:
abc: 10.2343 10.2343 10.2343
angles: 158.25 154.28 33.93
Positions (direct):
Pm1 0.0000 0.0000 0.0000
Pm2 0.3651 0.3651 0.0000
Pm3 0.6970 0.1970 0.5000
Rh1 0.2578 0.7578 0.5000
Au1 0.1225 0.6225 0.5000
Au2 0.5299 0.5299 0.0000
Au3 0.8403 0.8403 0.0000

The 10 most intense peaks (2θ = 5–70°), sorted by position:
2θ (°), d (Å), I_rel
27.33, 3.263, 19
31.72, 2.821, 100
32.56, 2.750, 23
35.57, 2.524, 30
37.74, 2.383, 44
39.57, 2.277, 37
41.29, 2.187, 51
47.05, 1.931, 23
61.83, 1.500, 21
63.12, 1.473, 19